Ac2PrAs3: simulated X-ray diffraction stick pattern (Cu Kα, 1.54184 Å), based on the GGA-PBE geometry in Alexandria.
Intensities are scaled so that the largest is 100.

Atomic structure:
Cell lengths 14.834, 14.143, 7.746 Å; angles 79.48, 69.63, 30.89 degrees
Sites, in units of the cell vectors:
Ac (0.042, 0.042, 0.208)
Ac (0.125, 0.125, 0.625)
Ac (0.208, 0.208, 0.042)
Ac (0.375, 0.375, 0.875)
Ac (0.625, 0.625, 0.125)
Ac (0.792, 0.792, 0.958)
Ac (0.875, 0.875, 0.375)
Ac (0.958, 0.958, 0.792)
Pr (0.292, 0.292, 0.458)
Pr (0.458, 0.458, 0.292)
Pr (0.542, 0.542, 0.708)
Pr (0.708, 0.708, 0.542)
As (0.040, 0.540, 0.218)
As (0.134, 0.616, 0.616)
As (0.218, 0.701, 0.040)
As (0.299, 0.782, 0.460)
As (0.384, 0.866, 0.866)
As (0.460, 0.960, 0.299)
As (0.540, 0.040, 0.701)
As (0.616, 0.134, 0.134)
As (0.701, 0.218, 0.540)
As (0.782, 0.299, 0.960)
As (0.866, 0.384, 0.384)
As (0.960, 0.460, 0.782)

Largest 10 diffraction maxima, sorted by position, 2θ from 10° to 90°:
2θ 24.38, d 3.652, intensity 35
2θ 28.22, d 3.162, intensity 100
2θ 40.33, d 2.236, intensity 77
2θ 47.69, d 1.907, intensity 19
2θ 49.95, d 1.826, intensity 28
2θ 58.36, d 1.581, intensity 13
2θ 64.19, d 1.451, intensity 8
2θ 66.06, d 1.414, intensity 36
2θ 73.33, d 1.291, intensity 27
2θ 87.18, d 1.118, intensity 9

=====

PmFeCoSi2: simulated X-ray diffraction stick pattern (Cu Kα, 1.54184 Å), based on the GGA-PBE geometry in Alexandria.
Intensities are scaled so that the largest is 100.

Atomic structure:
Cell lengths 5.632, 5.632, 5.632 Å; angles 138.72, 138.72, 59.81 degrees
Sites, in units of the cell vectors:
Pm (0.000, 0.000, 0.000)
Fe (0.250, 0.750, 0.500)
Co (0.750, 0.250, 0.500)
Si (0.365, 0.365, 0.000)
Si (0.635, 0.635, 0.000)

Largest 10 diffraction maxima, sorted by position, 2θ from 10° to 90°:
2θ 24.19, d 3.678, intensity 51
2θ 35.67, d 2.517, intensity 61
2θ 36.82, d 2.441, intensity 17
2θ 36.93, d 2.434, intensity 100
2θ 45.69, d 1.986, intensity 42
2θ 52.20, d 1.752, intensity 16
2θ 59.27, d 1.559, intensity 28
2θ 60.06, d 1.540, intensity 15
2θ 66.39, d 1.408, intensity 21
2θ 78.66, d 1.216, intensity 27

=====

Pr2ScZn3Pt4: simulated X-ray diffraction stick pattern (Cu Kα, 1.54184 Å), based on the GGA-PBE geometry in Alexandria.
Intensities are scaled so that the largest is 100.

Atomic structure:
Cell lengths 4.155, 4.155, 11.550 Å; angles 90.00, 90.00, 90.00 degrees
Sites, in units of the cell vectors:
Pr (0.000, 0.500, 0.232)
Pr (0.500, 0.000, 0.768)
Sc (0.000, 0.000, 0.500)
Zn (0.000, 0.500, 0.871)
Zn (0.500, 0.000, 0.129)
Zn (0.500, 0.500, 0.500)
Pt (0.000, 0.000, 0.000)
Pt (0.000, 0.500, 0.650)
Pt (0.500, 0.000, 0.350)
Pt (0.500, 0.500, 0.000)

Largest 10 diffraction maxima, sorted by position, 2θ from 10° to 90°:
2θ 26.42, d 3.373, intensity 19
2θ 31.41, d 2.848, intensity 20
2θ 31.68, d 2.824, intensity 35
2θ 34.24, d 2.619, intensity 100
2θ 43.56, d 2.078, intensity 54
2θ 43.96, d 2.060, intensity 30
2θ 44.89, d 2.019, intensity 32
2θ 63.30, d 1.469, intensity 18
2θ 64.34, d 1.448, intensity 22
2θ 73.98, d 1.281, intensity 21

=====

Sm14ScIn: simulated X-ray diffraction stick pattern (Cu Kα, 1.54184 Å), based on the GGA-PBE geometry in Alexandria.
Intensities are scaled so that the largest is 100.

Atomic structure:
Cell lengths 7.121, 7.121, 10.163 Å; angles 90.00, 90.00, 90.00 degrees
Sites, in units of the cell vectors:
Sm (0.000, 0.000, 0.000)
Sm (0.000, 0.500, 0.000)
Sm (0.000, 0.500, 0.500)
Sm (0.249, 0.249, 0.257)
Sm (0.249, 0.249, 0.743)
Sm (0.249, 0.751, 0.257)
Sm (0.249, 0.751, 0.743)
Sm (0.500, 0.000, 0.000)
Sm (0.500, 0.000, 0.500)
Sm (0.500, 0.500, 0.000)
Sm (0.751, 0.249, 0.257)
Sm (0.751, 0.249, 0.743)
Sm (0.751, 0.751, 0.257)
Sm (0.751, 0.751, 0.743)
Sc (0.000, 0.000, 0.500)
In (0.500, 0.500, 0.500)

Largest 10 diffraction maxima, sorted by position, 2θ from 10° to 90°:
2θ 30.66, d 2.916, intensity 100
2θ 35.33, d 2.541, intensity 17
2θ 35.66, d 2.518, intensity 34
2θ 51.07, d 1.788, intensity 24
2θ 51.32, d 1.780, intensity 12
2θ 60.53, d 1.530, intensity 14
2θ 60.98, d 1.519, intensity 28
2θ 63.84, d 1.458, intensity 12
2θ 83.29, d 1.160, intensity 11
2θ 83.68, d 1.156, intensity 6